The following is a theoretical X-ray powder pattern of Hf2AuC. It was derived from a structure optimized by DFT (GGA-PBE), using copper Kα.
No peak broadening, texture or thermal motion is included.

Main lines, in order of rising 2θ (2θ from 10° to 90°):
2θ/deg	d/Å	I (rel.)
31.50	2.841	23.5
36.89	2.436	100.0
37.98	2.369	19.2
50.14	1.819	14.5
56.08	1.640	21.0
65.75	1.420	3.1
67.90	1.380	15.8
69.03	1.360	16.3
69.74	1.348	19.9
78.52	1.218	3.9

Crystal structure
a b c (Å): 5.6809 5.6809 14.5934
angles (deg): 101.28 101.28 60.01
Sites, in units of the cell vectors:
Hf (0.0302, 0.8634, 0.5899)
Hf (0.1366, 0.9698, 0.9101)
Hf (0.1970, 0.3636, 0.0900)
Hf (0.3031, 0.4698, 0.4100)
Hf (0.3636, 0.1970, 0.5900)
Hf (0.4698, 0.3031, 0.9100)
Hf (0.5302, 0.6969, 0.0900)
Hf (0.6364, 0.8030, 0.4100)
Hf (0.6969, 0.5302, 0.5900)
Hf (0.8030, 0.6364, 0.9100)
Hf (0.8634, 0.0302, 0.0899)
Hf (0.9698, 0.1366, 0.4101)
Au (0.0836, 0.2493, 0.7501)
Au (0.2493, 0.0836, 0.2501)
Au (0.4155, 0.5845, 0.7500)
Au (0.5845, 0.4155, 0.2500)
Au (0.7507, 0.9164, 0.7499)
Au (0.9164, 0.7507, 0.2499)
C (0.0000, 0.5000, 0.5000)
C (0.1666, 0.6667, 0.0000)
C (0.3333, 0.8334, 0.5000)
C (0.5000, 0.0000, 0.0000)
C (0.6667, 0.1666, 0.5000)
C (0.8334, 0.3333, 0.0000)

The following is a theoretical X-ray powder pattern of Hf4Ta2Au3C3. It was derived from a structure optimized by DFT (GGA-PBE), using copper Kα.
No peak broadening, texture or thermal motion is included.

Main lines, in order of rising 2θ (2θ from 10° to 90°):
2θ/deg	d/Å	I (rel.)
31.86	2.809	35.9
37.28	2.412	51.1
37.36	2.407	100.0
38.44	2.342	29.0
50.72	1.800	14.5
56.77	1.622	30.5
68.75	1.365	15.2
69.90	1.346	15.7
70.57	1.335	14.4
70.72	1.332	9.4

Crystal structure
a b c (Å): 5.6171 5.6171 14.4312
angles (deg): 101.39 101.39 60.00
Sites, in units of the cell vectors:
Hf (0.0356, 0.1946, 0.0934)
Hf (0.1307, 0.3021, 0.4067)
Hf (0.1946, 0.0356, 0.5934)
Hf (0.3021, 0.1307, 0.9067)
Hf (0.6979, 0.8693, 0.0933)
Hf (0.8054, 0.9644, 0.4066)
Hf (0.8693, 0.6979, 0.5933)
Hf (0.9644, 0.8054, 0.9066)
Ta (0.3563, 0.5270, 0.0796)
Ta (0.4730, 0.6437, 0.4204)
Ta (0.5270, 0.3563, 0.5796)
Ta (0.6437, 0.4730, 0.9204)
Au (0.1093, 0.8907, 0.2500)
Au (0.2772, 0.4167, 0.7510)
Au (0.4167, 0.2772, 0.2510)
Au (0.5833, 0.7228, 0.7490)
Au (0.7228, 0.5833, 0.2490)
Au (0.8907, 0.1093, 0.7500)
C (0.0000, 0.5000, 0.0000)
C (0.1703, 0.6649, 0.5000)
C (0.3351, 0.8298, 0.0000)
C (0.5000, 0.0000, 0.5000)
C (0.6649, 0.1703, 0.0000)
C (0.8298, 0.3351, 0.5000)